(1)
Re7Sb6: theoretical XRD peak list (Cu Kα (weighted mean of Kα1 and Kα2)), based on a crystal structure in Alexandria, relaxed with PBE.
Neutral-atom scattering factors, no anomalous dispersion.

Crystal structure
```
data_Re7Sb6
_symmetry_space_group_name_H-M 'R -3 m'
_symmetry_Int_Tables_number 166
_symmetry_space_group_name_Hall '-R 3 2"'
_cell_length_a 5.2844
_cell_length_b 5.2844
_cell_length_c 34.3608
_cell_angle_alpha 90.00
_cell_angle_beta 90.00
_cell_angle_gamma 120.00
loop_
_atom_site_label
_atom_site_fract_x
_atom_site_fract_y
_atom_site_fract_z
Re1 0.0000 0.0000 0.0000
Re2 0.0116 0.5058 0.3992
Sb1 0.0000 0.0000 0.1335
Sb2 0.0000 0.0000 0.3490
Sb3 0.0000 0.0000 0.4428
```

Largest 10 diffraction maxima, by angle, 10° ≤ 2θ ≤ 80°:
hkl  2θ (°)  d (Å)  Rel. int.
0 0 6  15.47  5.727  35
1 0 10  32.59  2.748  35
1 1 6  37.49  2.399  31
0 0 15  39.34  2.291  25
0 2 1  39.47  2.283  29
0 2 4  40.81  2.211  40
2 0 5  41.58  2.172  100
0 1 14  41.76  2.163  24
0 2 19  65.81  1.419  18
2 2 0  71.40  1.321  25

(2)
ReSi2Sb: theoretical XRD peak list (Cu Kα (weighted mean of Kα1 and Kα2)), based on a crystal structure in Alexandria, relaxed with PBE.
Neutral-atom scattering factors, no anomalous dispersion.

Crystal structure
```
data_ReSi2Sb
_symmetry_space_group_name_H-M 'C 1 2/m 1'
_symmetry_Int_Tables_number 12
_cell_length_a 8.1052
_cell_length_b 3.2683
_cell_length_c 5.5289
_cell_angle_alpha 90.00
_cell_angle_beta 97.55
_cell_angle_gamma 90.00
loop_
_symmetry_equiv_pos_as_xyz
'x,y,z'
'-x,-y,-z'
'-x,y,-z'
'x,-y,z'
'x+1/2,y+1/2,z'
'-x+1/2,-y+1/2,-z'
'-x+1/2,y+1/2,-z'
'x+1/2,-y+1/2,z'
loop_
_atom_site_label
_atom_site_fract_x
_atom_site_fract_y
_atom_site_fract_z
Re1 0.0000 0.0000 0.0000
Si1 0.2245 0.5000 0.1624
Sb1 0.0000 0.5000 0.5000
```

Largest 10 diffraction maxima, by angle, 10° ≤ 2θ ≤ 80°:
hkl  2θ (°)  d (Å)  Rel. int.
0 0 1  16.17  5.481  23
2 0 0  22.13  4.017  78
0 0 2  32.68  2.741  37
1 1 -1  33.09  2.707  58
1 1 1  34.55  2.596  100
2 0 -2  37.21  2.416  40
2 0 2  42.29  2.137  23
3 1 -1  45.17  2.007  75
3 1 1  48.53  1.876  24
2 2 -2  69.46  1.353  18

(3)
ReSnSb: theoretical XRD peak list (Cu Kα (weighted mean of Kα1 and Kα2)), based on a crystal structure in Alexandria, relaxed with PBE.
Neutral-atom scattering factors, no anomalous dispersion.

Crystal structure
```
data_ReSnSb
_symmetry_space_group_name_H-M 'P 1 21/m 1'
_symmetry_Int_Tables_number 11
_cell_length_a 5.0552
_cell_length_b 3.0914
_cell_length_c 9.1823
_cell_angle_alpha 90.00
_cell_angle_beta 104.66
_cell_angle_gamma 90.00
loop_
_symmetry_equiv_pos_as_xyz
'x,y,z'
'-x,-y,-z'
'-x,y+1/2,-z'
'x,-y+1/2,z'
loop_
_atom_site_label
_atom_site_fract_x
_atom_site_fract_y
_atom_site_fract_z
Re1 0.0604 0.2500 0.3954
Sn1 0.4983 0.7500 0.3442
Sb1 0.1687 0.2500 0.8705
```

Largest 10 diffraction maxima, by angle, 10° ≤ 2θ ≤ 80°:
hkl  2θ (°)  d (Å)  Rel. int.
1 0 0  18.14  4.891  30
1 0 2  30.42  2.939  48
1 1 0  34.32  2.613  31
0 1 2  35.38  2.537  33
2 0 -2  37.18  2.418  50
1 1 -2  37.50  2.398  100
0 0 4  40.64  2.220  60
1 1 2  42.44  2.130  62
3 1 -1  62.94  1.477  25
1 0 6  71.03  1.327  27

(4)
Th5Re2Sb: theoretical XRD peak list (Cu Kα (weighted mean of Kα1 and Kα2)), based on a crystal structure in Alexandria, relaxed with PBE.
Neutral-atom scattering factors, no anomalous dispersion.

Crystal structure
```
data_Th5Re2Sb
_symmetry_space_group_name_H-M 'I 4/m c m'
_symmetry_Int_Tables_number 140
_symmetry_space_group_name_Hall '-I 4 2c'
_cell_length_a 8.1225
_cell_length_b 8.1225
_cell_length_c 13.4373
_cell_angle_alpha 90.00
_cell_angle_beta 90.00
_cell_angle_gamma 90.00
loop_
_atom_site_label
_atom_site_fract_x
_atom_site_fract_y
_atom_site_fract_z
Th1 0.0000 0.0000 0.0000
Th2 0.1572 0.3428 0.1350
Re1 0.1389 0.3611 0.5000
Sb1 0.0000 0.0000 0.2500
```

Largest 10 diffraction maxima, by angle, 10° ≤ 2θ ≤ 80°:
hkl  2θ (°)  d (Å)  Rel. int.
0 0 2  13.18  6.719  17
1 1 4  30.84  2.900  16
2 1 3  31.72  2.821  100
2 0 4  34.65  2.589  22
3 1 0  34.93  2.569  58
2 1 5  41.81  2.160  23
4 1 3  50.62  1.803  12
3 3 4  55.22  1.663  12
5 2 3  65.27  1.429  18
3 1 8  66.52  1.406  18

(5)
Sc3Re: theoretical XRD peak list (Cu Kα (weighted mean of Kα1 and Kα2)), based on a crystal structure in Alexandria, relaxed with PBE.
Neutral-atom scattering factors, no anomalous dispersion.

Crystal structure
```
data_Sc3Re
_symmetry_space_group_name_H-M 'C 1 2/m 1'
_symmetry_Int_Tables_number 12
_cell_length_a 9.5591
_cell_length_b 2.9425
_cell_length_c 5.6422
_cell_angle_alpha 90.00
_cell_angle_beta 92.73
_cell_angle_gamma 90.00
loop_
_symmetry_equiv_pos_as_xyz
'x,y,z'
'-x,-y,-z'
'-x,y,-z'
'x,-y,z'
'x+1/2,y+1/2,z'
'-x+1/2,-y+1/2,-z'
'-x+1/2,y+1/2,-z'
'x+1/2,-y+1/2,z'
loop_
_atom_site_label
_atom_site_fract_x
_atom_site_fract_y
_atom_site_fract_z
Sc1 0.0000 0.0000 0.0000
Sc2 0.2450 0.0000 0.7281
Re1 0.0000 0.5000 0.5000
```

Largest 10 diffraction maxima, by angle, 10° ≤ 2θ ≤ 80°:
hkl  2θ (°)  d (Å)  Rel. int.
0 0 1  15.72  5.636  82
2 0 0  18.59  4.774  47
2 0 -1  23.85  3.732  24
0 0 2  31.80  2.814  39
1 1 1  35.89  2.502  100
2 0 -2  36.24  2.479  48
4 0 0  37.68  2.387  44
2 0 2  37.84  2.378  42
4 0 1  41.80  2.161  23
3 1 -1  44.42  2.040  54

(6)
ScReSe3: theoretical XRD peak list (Cu Kα (weighted mean of Kα1 and Kα2)), based on a crystal structure in Alexandria, relaxed with PBE.
Neutral-atom scattering factors, no anomalous dispersion.

Crystal structure
```
data_ScReSe3
_symmetry_space_group_name_H-M 'P m -3 m'
_symmetry_Int_Tables_number 221
_symmetry_space_group_name_Hall '-P 4 2 3'
_cell_length_a 4.9214
_cell_length_b 4.9214
_cell_length_c 4.9214
_cell_angle_alpha 90.00
_cell_angle_beta 90.00
_cell_angle_gamma 90.00
loop_
_atom_site_label
_atom_site_fract_x
_atom_site_fract_y
_atom_site_fract_z
Sc1 0.0000 0.0000 0.0000
Re1 0.5000 0.5000 0.5000
Se1 0.0000 0.5000 0.5000
```

Largest 10 diffraction maxima, by angle, 10° ≤ 2θ ≤ 80°:
hkl  2θ (°)  d (Å)  Rel. int.
1 0 0  18.02  4.921  100
1 1 0  25.60  3.480  41
2 0 0  36.52  2.461  80
2 1 0  41.01  2.201  51
2 1 1  45.13  2.009  18
2 2 0  52.60  1.740  55
3 0 0  56.06  1.640  26
2 2 2  65.73  1.421  19
3 2 0  68.78  1.365  12
3 2 1  71.76  1.315  9

(7)
ScRe4Se8: theoretical XRD peak list (Cu Kα (weighted mean of Kα1 and Kα2)), based on a crystal structure in Alexandria, relaxed with PBE.
Neutral-atom scattering factors, no anomalous dispersion.

Crystal structure
```
data_ScRe4Se8
_symmetry_space_group_name_H-M 'R -3 m'
_symmetry_Int_Tables_number 166
_symmetry_space_group_name_Hall '-R 3 2"'
_cell_length_a 7.3688
_cell_length_b 7.3688
_cell_length_c 18.0086
_cell_angle_alpha 90.00
_cell_angle_beta 90.00
_cell_angle_gamma 120.00
loop_
_atom_site_label
_atom_site_fract_x
_atom_site_fract_y
_atom_site_fract_z
Sc1 0.0000 0.0000 0.0000
Re1 0.0000 0.0000 0.5000
Re2 0.0000 0.5000 0.5000
Se1 0.0000 0.0000 0.2457
Se2 0.0060 0.5030 0.2461
```

Largest 10 diffraction maxima, by angle, 10° ≤ 2θ ≤ 80°:
hkl  2θ (°)  d (Å)  Rel. int.
0 0 3  14.76  6.003  70
0 2 1  28.41  3.142  38
0 2 4  34.45  2.603  100
2 0 5  37.66  2.388  15
0 2 7  45.28  2.003  18
2 2 0  49.52  1.841  71
2 2 3  51.92  1.761  17
4 0 4  61.68  1.504  18
4 0 7  69.32  1.356  9
0 4 8  72.64  1.302  11

(8)
ScReSe: theoretical XRD peak list (Cu Kα (weighted mean of Kα1 and Kα2)), based on a crystal structure in Alexandria, relaxed with PBE.
Neutral-atom scattering factors, no anomalous dispersion.

Crystal structure
```
data_ScReSe
_symmetry_space_group_name_H-M 'I 4 m m'
_symmetry_Int_Tables_number 107
_symmetry_space_group_name_Hall 'I 4 -2'
_cell_length_a 3.1499
_cell_length_b 3.1499
_cell_length_c 10.8266
_cell_angle_alpha 90.00
_cell_angle_beta 90.00
_cell_angle_gamma 90.00
loop_
_atom_site_label
_atom_site_fract_x
_atom_site_fract_y
_atom_site_fract_z
Sc1 0.0000 0.0000 0.0000
Re1 0.0000 0.0000 0.6726
Se1 0.0000 0.0000 0.2939
```

Largest 10 diffraction maxima, by angle, 10° ≤ 2θ ≤ 80°:
hkl  2θ (°)  d (Å)  Rel. int.
0 0 2  16.37  5.413  66
1 0 1  29.53  3.024  26
1 0 3  37.91  2.373  100
1 1 0  40.50  2.227  48
1 1 2  43.96  2.060  23
1 0 5  51.19  1.784  25
2 0 0  58.61  1.575  16
2 0 2  61.30  1.512  9
1 1 6  66.71  1.402  12
2 1 3  71.96  1.312  30

(9)
Sc5Re8Si12: theoretical XRD peak list (Cu Kα (weighted mean of Kα1 and Kα2)), based on a crystal structure in Alexandria, relaxed with PBE.
Neutral-atom scattering factors, no anomalous dispersion.

Crystal structure
```
data_Sc5Re8Si12
_symmetry_space_group_name_H-M 'A m m 2'
_symmetry_Int_Tables_number 38
_cell_length_a 14.5291
_cell_length_b 19.7361
_cell_length_c 5.2499
_cell_angle_alpha 90.00
_cell_angle_beta 90.00
_cell_angle_gamma 90.00
loop_
_symmetry_equiv_pos_as_xyz
'x,y,z'
'-x,-y,z'
'-x,y,z'
'x,-y,z'
'x,y+1/2,z+1/2'
'-x,-y+1/2,z+1/2'
'-x,y+1/2,z+1/2'
'x,-y+1/2,z+1/2'
loop_
_atom_site_label
_atom_site_fract_x
_atom_site_fract_y
_atom_site_fract_z
Sc1 0.0000 0.0000 0.0000
Sc2 0.1731 0.1357 0.2874
Sc3 0.3245 0.1339 0.7912
Sc4 0.5000 0.0000 0.5243
Re1 0.0000 0.1012 0.5356
Re2 0.1257 0.2059 0.7950
Re3 0.2207 0.0000 0.0716
Re4 0.2688 0.0000 0.5631
Re5 0.3927 0.2011 0.2921
Re6 0.5000 0.0841 0.0368
Si1 0.0000 0.1405 0.0315
Si2 0.0000 0.2206 0.4595
Si3 0.1029 0.0000 0.4265
Si4 0.1466 0.0811 0.7813
Si5 0.2585 0.2499 0.0412
Si6 0.3511 0.0783 0.2868
Si7 0.3786 0.0000 0.9127
Si8 0.5000 0.1313 0.5519
Si9 0.5000 0.2080 0.9281
```

Largest 10 diffraction maxima, by angle, 10° ≤ 2θ ≤ 80°:
hkl  2θ (°)  d (Å)  Rel. int.
2 4 0  21.77  4.082  46
1 3 1  22.52  3.949  50
4 2 0  26.14  3.409  94
1 5 1  28.96  3.083  70
0 2 2  35.38  2.537  63
1 7 1  36.71  2.448  55
5 3 1  37.94  2.371  49
2 4 2  40.85  2.209  96
5 5 1  42.28  2.137  49
4 0 2  42.49  2.128  100

(10)
ScRe2Si3: theoretical XRD peak list (Cu Kα (weighted mean of Kα1 and Kα2)), based on a crystal structure in Alexandria, relaxed with PBE.
Neutral-atom scattering factors, no anomalous dispersion.

Crystal structure
```
data_ScRe2Si3
_symmetry_space_group_name_H-M 'F m m 2'
_symmetry_Int_Tables_number 42
_symmetry_space_group_name_Hall 'F 2 -2'
_cell_length_a 14.5919
_cell_length_b 19.2311
_cell_length_c 5.2146
_cell_angle_alpha 90.00
_cell_angle_beta 90.00
_cell_angle_gamma 90.00
loop_
_atom_site_label
_atom_site_fract_x
_atom_site_fract_y
_atom_site_fract_z
Sc1 0.1755 0.1340 0.0000
Re1 0.0000 0.0868 0.7565
Re2 0.1122 0.2021 0.4937
Re3 0.2315 0.0000 0.2261
Si1 0.0000 0.1190 0.2571
Si2 0.0000 0.2098 0.8587
Si3 0.1103 0.0000 0.9176
Si4 0.1437 0.0745 0.5047
Si5 0.2500 0.2500 0.2444
```

Largest 10 diffraction maxima, by angle, 10° ≤ 2θ ≤ 80°:
hkl  2θ (°)  d (Å)  Rel. int.
2 4 0  22.14  4.015  32
1 3 1  22.81  3.898  37
4 2 0  26.13  3.411  67
1 5 1  29.50  3.028  42
0 2 2  35.68  2.516  41
1 7 1  37.51  2.398  37
5 3 1  38.02  2.367  36
2 4 2  41.29  2.187  37
6 4 0  41.57  2.172  51
4 0 2  42.61  2.122  100

(11)
TbScRe: theoretical XRD peak list (Cu Kα (weighted mean of Kα1 and Kα2)), based on a crystal structure in Alexandria, relaxed with PBE.
Neutral-atom scattering factors, no anomalous dispersion.

Crystal structure
```
data_TbScRe
_symmetry_space_group_name_H-M 'C m c e'
_symmetry_Int_Tables_number 64
_symmetry_space_group_name_Hall '-C 2ac 2'
_cell_length_a 6.3578
_cell_length_b 12.1940
_cell_length_c 7.5860
_cell_angle_alpha 90.00
_cell_angle_beta 90.00
_cell_angle_gamma 90.00
loop_
_atom_site_label
_atom_site_fract_x
_atom_site_fract_y
_atom_site_fract_z
Tb1 0.0000 0.1917 0.1103
Sc1 0.2500 0.0465 0.7500
Re1 0.0000 0.0955 0.4600
```

Largest 10 diffraction maxima, by angle, 10° ≤ 2θ ≤ 80°:
hkl  2θ (°)  d (Å)  Rel. int.
0 2 1  18.67  4.752  31
1 1 1  19.62  4.525  83
2 0 0  28.07  3.179  71
1 1 2  28.36  3.147  29
2 2 1  33.93  2.642  36
1 3 2  35.31  2.542  44
2 0 2  36.89  2.436  44
0 2 3  38.54  2.336  39
1 5 1  41.40  2.181  100
3 5 1  59.01  1.565  36

(12)
ScRe2Tc: theoretical XRD peak list (Cu Kα (weighted mean of Kα1 and Kα2)), based on a crystal structure in Alexandria, relaxed with PBE.
Neutral-atom scattering factors, no anomalous dispersion.

Crystal structure
```
data_ScRe2Tc
_symmetry_space_group_name_H-M 'P 4 m m'
_symmetry_Int_Tables_number 99
_cell_length_a 3.1328
_cell_length_b 3.1328
_cell_length_c 6.4897
_cell_angle_alpha 90.00
_cell_angle_beta 90.00
_cell_angle_gamma 90.00
loop_
_symmetry_equiv_pos_as_xyz
'x,y,z'
'-y,x,z'
'-x,-y,z'
'y,-x,z'
'-x,y,z'
'y,x,z'
'x,-y,z'
'-y,-x,z'
loop_
_atom_site_label
_atom_site_fract_x
_atom_site_fract_y
_atom_site_fract_z
Sc1 0.0000 0.0000 0.0000
Re1 0.0000 0.0000 0.4979
Re2 0.5000 0.5000 0.7285
Tc1 0.5000 0.5000 0.2609
```

Largest 10 diffraction maxima, by angle, 10° ≤ 2θ ≤ 80°:
hkl  2θ (°)  d (Å)  Rel. int.
0 0 1  13.64  6.490  45
1 0 1  31.72  2.821  13
1 0 2  40.00  2.254  100
1 1 0  40.73  2.215  49
1 1 1  43.15  2.096  11
1 0 3  51.33  1.780  11
0 0 4  56.74  1.622  8
2 0 0  58.97  1.566  16
1 1 4  72.17  1.309  16
2 1 2  73.65  1.286  33

(13)
ScReTe: theoretical XRD peak list (Cu Kα (weighted mean of Kα1 and Kα2)), based on a crystal structure in Alexandria, relaxed with PBE.
Neutral-atom scattering factors, no anomalous dispersion.

Crystal structure
```
data_ScReTe
_symmetry_space_group_name_H-M 'P -6 m 2'
_symmetry_Int_Tables_number 187
_symmetry_space_group_name_Hall 'P -6 2'
_cell_length_a 4.5444
_cell_length_b 4.5444
_cell_length_c 3.3106
_cell_angle_alpha 90.00
_cell_angle_beta 90.00
_cell_angle_gamma 120.00
loop_
_atom_site_label
_atom_site_fract_x
_atom_site_fract_y
_atom_site_fract_z
Sc1 0.0000 0.0000 0.0000
Re1 0.3333 0.6667 0.5000
Te1 0.6667 0.3333 0.5000
```

Largest 10 diffraction maxima, by angle, 10° ≤ 2θ ≤ 80°:
hkl  2θ (°)  d (Å)  Rel. int.
1 0 0  22.59  3.936  49
0 0 1  26.93  3.311  51
1 0 1  35.43  2.533  93
1 1 0  39.67  2.272  100
1 1 1  48.60  1.873  64
2 0 1  54.23  1.692  27
2 1 1  69.25  1.357  26
1 1 2  70.37  1.338  36
3 0 0  71.98  1.312  17
3 0 1  78.41  1.220  16